Entry 1:
Theoretical X-ray powder pattern of CoSi4Ni3 for Cu Kα, 1.54184 Å, from the GGA-PBE geometry in the Materials Project.
No peak broadening, texture or thermal motion is included.

Cell and atoms:
```
data_CoSi4Ni3
_symmetry_space_group_name_H-M 'P 1'
_symmetry_Int_Tables_number 1
_cell_length_a 5.217
_cell_length_b 3.232
_cell_length_c 5.686
_cell_angle_alpha 90.00
_cell_angle_beta 90.18
_cell_angle_gamma 90.00
loop_
_symmetry_equiv_pos_as_xyz
'x,y,z'
loop_
_atom_site_label
_atom_site_type_symbol
_atom_site_fract_x
_atom_site_fract_y
_atom_site_fract_z
_atom_site_occupancy
Co1 Co 0.000 0.000 0.000 1
Si1 Si 0.170 0.000 0.617 1
Si2 Si 0.305 0.500 0.110 1
Si3 Si 0.677 0.000 0.266 1
Si4 Si 0.817 0.500 0.772 1
Ni1 Ni 0.486 0.500 0.501 1
Ni2 Ni 0.501 0.000 0.879 1
Ni3 Ni 0.985 0.500 0.381 1
```

Most intense lines, 2θ from 15° to 90°, in order of rising 2θ:
- 2θ 31.47, rel. 16.9, (0 0 2)
- 2θ 31.85, rel. 74.4, (0 1 1)
- 2θ 34.38, rel. 29.2, (2 0 0)
- 2θ 36.31, rel. 22.8, (1 1 -1)
- 2θ 45.93, rel. 69.8, (1 1 2)
- 2θ 47.21, rel. 18.3, (2 0 -2)
- 2θ 47.37, rel. 17.1, (2 0 2)
- 2θ 47.56, rel. 100.0, (2 1 1)
- 2θ 51.23, rel. 15.3, (1 0 -3)
- 2θ 51.34, rel. 14.8, (1 0 3)
- 2θ 56.27, rel. 19.4, (0 1 3)
- 2θ 56.99, rel. 26.1, (0 2 0)

***

Entry 2:
Theoretical X-ray powder pattern of SrCaB5H2ClO10 for Cu Kα, 1.54184 Å, from the GGA-PBE geometry in the Materials Project.
No peak broadening, texture or thermal motion is included.

Cell and atoms:
```
data_SrCaB5H2ClO10
_symmetry_space_group_name_H-M 'P 1'
_symmetry_Int_Tables_number 1
_cell_length_a 6.425
_cell_length_b 6.580
_cell_length_c 6.730
_cell_angle_alpha 74.48
_cell_angle_beta 61.57
_cell_angle_gamma 60.88
loop_
_symmetry_equiv_pos_as_xyz
'x,y,z'
loop_
_atom_site_label
_atom_site_type_symbol
_atom_site_fract_x
_atom_site_fract_y
_atom_site_fract_z
_atom_site_occupancy
Sr1 Sr 0.000 0.000 0.000 1
Ca1 Ca 0.889 0.455 0.452 1
B1 B 0.354 0.978 0.327 1
B2 B 0.375 0.571 0.446 1
B3 B 0.492 0.126 0.539 1
B4 B 0.592 0.013 0.875 1
B5 B 0.953 0.900 0.486 1
H1 H 0.022 0.522 0.954 1
H2 H 0.281 0.457 0.980 1
Cl1 Cl 0.667 0.488 0.911 1
O1 O 0.090 0.550 0.043 1
O2 O 0.103 0.034 0.324 1
O3 O 0.127 0.644 0.464 1
O4 O 0.295 0.139 0.482 1
O5 O 0.402 0.086 0.796 1
O6 O 0.475 0.729 0.405 1
O7 O 0.533 0.345 0.480 1
O8 O 0.545 0.010 0.097 1
O9 O 0.747 0.937 0.428 1
O10 O 0.851 0.959 0.724 1
```

Most intense lines, 2θ from 15° to 90°, in order of rising 2θ:
- 2θ 15.43, rel. 70.1, (0 1 0)
- 2θ 17.35, rel. 55.2, (1 0 0)
- 2θ 27.37, rel. 68.8, (1 1 2)
- 2θ 27.79, rel. 40.6, (2 1 1)
- 2θ 27.95, rel. 43.5, (1 1 -1)
- 2θ 28.46, rel. 41.3, (1 -1 1)
- 2θ 30.24, rel. 100.0, (0 0 2)
- 2θ 31.15, rel. 95.2, (0 2 0)
- 2θ 31.93, rel. 68.3, (2 2 1)
- 2θ 42.13, rel. 42.4, (1 -2 0)
- 2θ 43.74, rel. 46.2, (3 1 2)
- 2θ 45.07, rel. 43.3, (2 2 -1)

***

Entry 3:
Theoretical X-ray powder pattern of CsTi2Cl7 for Cu Kα, 1.54184 Å, from the GGA-PBE geometry in the Materials Project.
No peak broadening, texture or thermal motion is included.

Cell and atoms:
```
data_CsTi2Cl7
_symmetry_space_group_name_H-M 'P 1'
_symmetry_Int_Tables_number 1
_cell_length_a 6.811
_cell_length_b 11.416
_cell_length_c 7.582
_cell_angle_alpha 90.00
_cell_angle_beta 94.83
_cell_angle_gamma 90.00
loop_
_symmetry_equiv_pos_as_xyz
'x,y,z'
loop_
_atom_site_label
_atom_site_type_symbol
_atom_site_fract_x
_atom_site_fract_y
_atom_site_fract_z
_atom_site_occupancy
Cs1 Cs 0.059 0.250 0.371 1
Cs2 Cs 0.941 0.750 0.629 1
Ti1 Ti 0.417 0.114 0.874 1
Ti2 Ti 0.417 0.386 0.874 1
Ti3 Ti 0.583 0.614 0.126 1
Ti4 Ti 0.583 0.886 0.126 1
Cl1 Cl 0.133 0.250 0.870 1
Cl2 Cl 0.260 0.005 0.648 1
Cl3 Cl 0.260 0.495 0.648 1
Cl4 Cl 0.279 0.502 0.106 1
Cl5 Cl 0.279 0.998 0.106 1
Cl6 Cl 0.440 0.750 0.895 1
Cl7 Cl 0.452 0.750 0.339 1
Cl8 Cl 0.548 0.250 0.661 1
Cl9 Cl 0.560 0.250 0.105 1
Cl10 Cl 0.721 0.002 0.894 1
Cl11 Cl 0.721 0.498 0.894 1
Cl12 Cl 0.740 0.505 0.352 1
Cl13 Cl 0.740 0.995 0.352 1
Cl14 Cl 0.867 0.750 0.130 1
```

Most intense lines, 2θ from 15° to 90°, in order of rising 2θ:
- 2θ 15.19, rel. 48.6, (1 1 0)
- 2θ 16.81, rel. 88.1, (1 0 -1)
- 2θ 18.53, rel. 58.0, (1 1 -1)
- 2θ 19.89, rel. 54.0, (1 1 1)
- 2θ 24.83, rel. 54.8, (0 1 2)
- 2θ 30.43, rel. 67.2, (1 2 -2)
- 2θ 30.65, rel. 100.0, (2 2 0)
- 2θ 31.34, rel. 50.0, (0 4 0)
- 2θ 32.16, rel. 57.8, (1 2 2)
- 2θ 35.25, rel. 65.2, (1 3 -2)
- 2θ 35.44, rel. 46.9, (2 3 0)
- 2θ 36.77, rel. 60.9, (1 3 2)